Entry 1:
Starting from a crystal structure in Alexandria, relaxed with GGA-PBE, the powder diffraction line list of Dy4SbIr2 was simulated for Cu Kα X-rays.
Peak positions follow from Bragg's law for the DFT cell and can differ from measured ones.

Lattice parameters (Å, degrees): 9.133 9.141 9.629 90.00 90.00 90.00
Space group Imma (No. 74)
Unique sites:
Dy: 0.000 0.065 0.225
Dy: 0.185 0.250 0.526
Sb: 0.000 0.250 0.874
Ir: 0.000 0.000 0.500
Ir: 0.250 0.250 0.250

Peak list (10 most intense, 10° ≤ 2θ ≤ 90°, sorted by position)
| Position (°2θ) | Rel. int. | index |
| --- | --- | --- |
| 13.36 | 61 | 1 0 1 |
| 19.43 | 21 | 0 2 0 |
| 27.61 | 88 | 2 2 0 |
| 29.50 | 88 | 1 0 3 |
| 36.67 | 100 | 2 3 1 |
| 37.36 | 24 | 0 0 4 |
| 39.45 | 45 | 4 0 0 |
| 45.61 | 42 | 2 3 3 |
| 47.08 | 62 | 2 2 4 |
| 72.50 | 21 | 5 4 3 |

Entry 2:
Starting from a crystal structure in Alexandria, relaxed with GGA-PBE, the powder diffraction line list of BaSi4Pt4 was simulated for Cu Kα X-rays.
Peak positions follow from Bragg's law for the DFT cell and can differ from measured ones.

Lattice parameters (Å, degrees): 8.553 8.553 4.637 90.00 90.00 90.00
Space group I4/m (No. 87)
Unique sites:
Ba: 0.000 0.000 0.000
Si: 0.112 0.381 0.500
Pt: 0.162 0.687 0.500

Peak list (10 most intense, 10° ≤ 2θ ≤ 90°, sorted by position)
| Position (°2θ) | Rel. int. | index |
| --- | --- | --- |
| 20.77 | 21 | 2 0 0 |
| 29.54 | 14 | 2 2 0 |
| 30.29 | 100 | 1 2 1 |
| 33.12 | 43 | 3 1 0 |
| 38.85 | 25 | 0 0 2 |
| 44.97 | 12 | 3 3 0 |
| 48.05 | 42 | 4 1 1 |
| 51.95 | 24 | 3 1 2 |
| 65.09 | 12 | 1 2 3 |
| 76.93 | 20 | 5 3 2 |

Entry 3:
Starting from a crystal structure in Alexandria, relaxed with GGA-PBE, the powder diffraction line list of Sr2PuAgS4 was simulated for Cu Kα X-rays.
Peak positions follow from Bragg's law for the DFT cell and can differ from measured ones.

Lattice parameters (Å, degrees): 7.126 4.171 7.133 90.00 110.17 90.00
Space group P2/m (No. 10)
Unique sites:
Sr: 0.000 0.000 0.000
Sr: 0.500 0.500 0.000
Pu: 0.000 0.500 0.500
Ag: 0.500 0.000 0.500
S: 0.233 0.000 0.734
S: 0.249 0.500 0.268

Peak list (10 most intense, 10° ≤ 2θ ≤ 90°, sorted by position)
| Position (°2θ) | Rel. int. | index |
| --- | --- | --- |
| 13.23 | 27 | 0 0 1 |
| 26.25 | 34 | 1 1 -1 |
| 26.64 | 33 | 0 0 2 |
| 30.63 | 100 | 1 1 1 |
| 43.39 | 13 | 0 2 0 |
| 43.85 | 48 | 3 1 -1 |
| 44.40 | 12 | 2 0 2 |
| 51.64 | 12 | 0 2 2 |
| 54.02 | 13 | 2 2 -2 |
| 54.87 | 12 | 4 0 0 |

Entry 4:
Starting from a crystal structure in Alexandria, relaxed with GGA-PBE, the powder diffraction line list of Y6Tc2Pb was simulated for Cu Kα X-rays.
Peak positions follow from Bragg's law for the DFT cell and can differ from measured ones.

Lattice parameters (Å, degrees): 9.658 9.667 10.490 90.00 90.00 90.00
Space group Immm (No. 71)
Unique sites:
Y: 0.000 0.218 0.237
Y: 0.203 0.500 0.182
Y: 0.217 0.309 0.500
Tc: 0.000 0.372 0.000
Tc: 0.000 0.500 0.386
Pb: 0.000 0.000 0.000
Pb: 0.000 0.000 0.500

Peak list (10 most intense, 10° ≤ 2θ ≤ 90°, sorted by position)
| Position (°2θ) | Rel. int. | index |
| --- | --- | --- |
| 18.37 | 26 | 2 0 0 |
| 31.25 | 100 | 2 2 2 |
| 32.96 | 29 | 2 1 3 |
| 33.94 | 42 | 1 3 2 |
| 34.19 | 16 | 0 0 4 |
| 34.54 | 38 | 2 3 1 |
| 37.23 | 38 | 4 0 0 |
| 45.58 | 18 | 1 3 4 |
| 58.41 | 19 | 5 3 2 |
| 66.77 | 17 | 3 5 4 |

Entry 5:
Starting from a crystal structure in Alexandria, relaxed with GGA-PBE, the powder diffraction line list of Er3Si4Ru2 was simulated for Cu Kα X-rays.
Peak positions follow from Bragg's law for the DFT cell and can differ from measured ones.

Lattice parameters (Å, degrees): 10.530 4.173 7.970 90.00 108.81 90.00
Space group C2/m (No. 12)
Unique sites:
Er: 0.000 0.000 0.000
Er: 0.118 0.500 0.697
Si: 0.098 0.000 0.410
Si: 0.221 0.500 0.077
Ru: 0.182 0.500 0.356

Peak list (10 most intense, 10° ≤ 2θ ≤ 90°, sorted by position)
| Position (°2θ) | Rel. int. | index |
| --- | --- | --- |
| 24.37 | 37 | 2 0 1 |
| 24.61 | 74 | 1 1 -1 |
| 31.06 | 51 | 1 1 -2 |
| 33.51 | 42 | 3 1 -1 |
| 34.51 | 100 | 3 1 0 |
| 35.33 | 50 | 1 1 2 |
| 35.70 | 56 | 0 0 3 |
| 36.24 | 47 | 4 0 -2 |
| 41.68 | 29 | 4 0 1 |
| 43.34 | 92 | 0 2 0 |

Entry 6:
Starting from a crystal structure in Alexandria, relaxed with GGA-PBE, the powder diffraction line list of TmAs2O6 was simulated for Cu Kα X-rays.
Peak positions follow from Bragg's law for the DFT cell and can differ from measured ones.

Lattice parameters (Å, degrees): 5.7162 5.7162 17.6993 90.00 90.00 120.00
Space group R3 (No. 146, hexagonal axes)
Unique sites:
Tm: 0.0000 0.0000 0.0000
As: 0.0000 0.0000 0.5952
As: 0.0000 0.0000 0.7384
O: 0.0011 0.4386 0.2491
O: 0.0036 0.5753 0.4158

Peak list (10 most intense, 10° ≤ 2θ ≤ 90°, sorted by position)
| Position (°2θ) | Rel. int. | index |
| --- | --- | --- |
| 15.02 | 66 | 0 0 3 |
| 18.61 | 100 | 1 0 1 |
| 20.56 | 60 | 0 1 2 |
| 27.03 | 41 | 1 0 4 |
| 31.06 | 46 | 0 1 5 |
| 31.30 | 67 | 1 1 0 |
| 34.88 | 55 | 1 1 3 |
| 40.04 | 34 | 1 0 7 |
| 55.71 | 30 | 3 0 0 |
| 65.30 | 27 | 2 2 0 |

What did the fourth record say?
Starting from a crystal structure in Alexandria, relaxed with GGA-PBE, the powder diffraction line list of Y6Tc2Pb was simulated for Cu Kα X-rays.
Peak positions follow from Bragg's law for the DFT cell and can differ from measured ones.

Lattice parameters (Å, degrees): 9.658 9.667 10.490 90.00 90.00 90.00
Space group Immm (No. 71)
Unique sites:
Y: 0.000 0.218 0.237
Y: 0.203 0.500 0.182
Y: 0.217 0.309 0.500
Tc: 0.000 0.372 0.000
Tc: 0.000 0.500 0.386
Pb: 0.000 0.000 0.000
Pb: 0.000 0.000 0.500

Peak list (10 most intense, 10° ≤ 2θ ≤ 90°, sorted by position)
| Position (°2θ) | Rel. int. | index |
| --- | --- | --- |
| 18.37 | 26 | 2 0 0 |
| 31.25 | 100 | 2 2 2 |
| 32.96 | 29 | 2 1 3 |
| 33.94 | 42 | 1 3 2 |
| 34.19 | 16 | 0 0 4 |
| 34.54 | 38 | 2 3 1 |
| 37.23 | 38 | 4 0 0 |
| 45.58 | 18 | 1 3 4 |
| 58.41 | 19 | 5 3 2 |
| 66.77 | 17 | 3 5 4 |